# 1
Calculated powder X-ray diffraction pattern
Compound: La4GaHgO
Radiation: CuKα
Structure: a DFT-relaxed cell (GGA-PBE, Alexandria)

Atomic structure:
```
data_La4GaHgO
_cell_length_a 6.971
_cell_length_b 16.371
_cell_length_c 6.986
_cell_angle_alpha 90.00
_cell_angle_beta 90.00
_cell_angle_gamma 90.00
_space_group_name_H-M_alt 'C m c m'
_space_group_IT_number 63
_space_group_name_Hall '-C 2c 2'
loop_
_atom_site_label
_atom_site_fract_x
_atom_site_fract_y
_atom_site_fract_z
La1 0.000 0.065 0.250
La2 0.000 0.424 0.250
La3 0.250 0.250 0.000
Ga1 0.000 0.121 0.750
Hg1 0.000 0.385 0.750
O1 0.000 0.261 0.250
```

Peak list (10 most intense, 10° ≤ 2θ ≤ 90°, sorted by position)
hkl  2theta  I_rel
2 0 0  25.53  25
2 2 0  27.79  100
0 6 0  32.83  70
2 4 0  33.76  95
2 0 2  36.42  82
2 6 2  49.83  61
4 2 2  60.39  23
0 6 4  63.24  15
4 4 2  63.84  31
4 0 4  77.34  23

---

# 2
Calculated powder X-ray diffraction pattern
Compound: Li6GaHg2
Radiation: CuKα
Structure: a DFT-relaxed cell (GGA-PBE, Alexandria)

Atomic structure:
```
data_Li6GaHg2
_cell_length_a 4.5760
_cell_length_b 4.5760
_cell_length_c 28.3601
_cell_angle_alpha 90.00
_cell_angle_beta 90.00
_cell_angle_gamma 120.00
_space_group_name_H-M_alt 'R -3 m'
_space_group_IT_number 166
_space_group_name_Hall '-R 3 2"'
loop_
_atom_site_label
_atom_site_fract_x
_atom_site_fract_y
_atom_site_fract_z
Li1 0.0000 0.0000 0.0984
Li2 0.0000 0.0000 0.1964
Li3 0.0000 0.0000 0.3058
Ga1 0.0000 0.0000 0.5000
Hg1 0.0000 0.0000 0.4039
```

Peak list (10 most intense, 10° ≤ 2θ ≤ 90°, sorted by position)
hkl  2theta  I_rel
0 0 6  18.77  25
1 0 1  22.66  100
0 1 2  23.31  25
1 0 4  25.75  25
0 1 5  27.46  39
1 0 10  39.06  39
1 1 0  39.38  40
0 1 11  41.80  26
1 1 6  43.97  18
1 1 9  49.21  18

---

# 3
Calculated powder X-ray diffraction pattern
Compound: Li2Ga3Hg2
Radiation: CuKα
Structure: a DFT-relaxed cell (GGA-PBE, Alexandria)

Atomic structure:
```
data_Li2Ga3Hg2
_cell_length_a 4.411
_cell_length_b 5.348
_cell_length_c 6.972
_cell_angle_alpha 68.82
_cell_angle_beta 89.80
_cell_angle_gamma 65.69
_space_group_name_H-M_alt 'P -1'
_space_group_IT_number 2
loop_
_space_group_symop_operation_xyz
'x,y,z'
'-x,-y,-z'
loop_
_atom_site_label
_atom_site_fract_x
_atom_site_fract_y
_atom_site_fract_z
Li1 0.248 0.004 0.160
Ga1 0.273 0.954 0.606
Ga2 0.500 0.500 0.000
Hg1 0.042 0.421 0.748
```

Peak list (10 most intense, 10° ≤ 2θ ≤ 90°, sorted by position)
hkl  2theta  I_rel
0 1 0  19.83  58
1 1 0  22.47  100
1 0 -1  24.29  57
0 1 2  27.09  45
0 1 -1  28.47  44
-1 1 1  34.35  43
1 2 2  38.02  74
1 0 2  39.08  55
1 1 -2  39.23  55
2 1 0  40.92  51

---

# 4
Calculated powder X-ray diffraction pattern
Compound: Li4Ga3Hg4
Radiation: CuKα
Structure: a DFT-relaxed cell (GGA-PBE, Alexandria)

Atomic structure:
```
data_Li4Ga3Hg4
_cell_length_a 8.854
_cell_length_b 15.551
_cell_length_c 3.046
_cell_angle_alpha 90.00
_cell_angle_beta 90.00
_cell_angle_gamma 90.00
_space_group_name_H-M_alt 'C m m m'
_space_group_IT_number 65
_space_group_name_Hall '-C 2 2'
loop_
_atom_site_label
_atom_site_fract_x
_atom_site_fract_y
_atom_site_fract_z
Li1 0.000 0.234 0.000
Li2 0.235 0.000 0.000
Ga1 0.000 0.083 0.500
Ga2 0.000 0.500 0.500
Hg1 0.201 0.345 0.500
```

Peak list (10 most intense, 10° ≤ 2θ ≤ 90°, sorted by position)
hkl  2theta  I_rel
2 0 0  20.06  46
0 4 0  22.87  56
2 2 0  23.12  49
0 0 1  29.33  100
2 4 0  30.60  40
3 3 0  34.99  62
0 4 1  37.51  37
2 6 0  40.32  41
3 3 1  46.28  55
2 6 1  50.63  38

---

# 5
Calculated powder X-ray diffraction pattern
Compound: Li4Ga5Hg
Radiation: CuKα
Structure: a DFT-relaxed cell (GGA-PBE, Alexandria)

Atomic structure:
```
data_Li4Ga5Hg
_cell_length_a 13.384
_cell_length_b 4.000
_cell_length_c 9.130
_cell_angle_alpha 90.00
_cell_angle_beta 126.61
_cell_angle_gamma 90.00
_space_group_name_H-M_alt 'C 1 2/m 1'
_space_group_IT_number 12
loop_
_space_group_symop_operation_xyz
'x,y,z'
'-x,-y,-z'
'-x,y,-z'
'x,-y,z'
'x+1/2,y+1/2,z'
'-x+1/2,-y+1/2,-z'
'-x+1/2,y+1/2,-z'
'x+1/2,-y+1/2,z'
loop_
_atom_site_label
_atom_site_fract_x
_atom_site_fract_y
_atom_site_fract_z
Li1 0.099 0.000 0.328
Li2 0.144 0.500 0.870
Ga1 0.000 0.500 0.000
Ga2 0.135 0.000 0.046
Ga3 0.229 0.000 0.710
Hg1 0.000 0.500 0.500
```

Peak list (10 most intense, 10° ≤ 2θ ≤ 90°, sorted by position)
hkl  2theta  I_rel
2 0 -2  19.56  100
0 0 2  24.30  25
1 1 1  28.92  34
3 1 -2  31.52  43
3 1 0  33.59  49
1 1 2  37.73  22
1 1 -3  39.65  35
5 1 -2  40.55  27
5 1 -4  47.60  21
2 2 -2  49.81  24

---

# 6
Calculated powder X-ray diffraction pattern
Compound: Li6Ga2Hg
Radiation: CuKα
Structure: a DFT-relaxed cell (GGA-PBE, Alexandria)

Atomic structure:
```
data_Li6Ga2Hg
_cell_length_a 7.8132
_cell_length_b 7.8132
_cell_length_c 8.1947
_cell_angle_alpha 90.00
_cell_angle_beta 90.00
_cell_angle_gamma 120.00
_space_group_name_H-M_alt 'R -3 m'
_space_group_IT_number 166
_space_group_name_Hall '-R 3 2"'
loop_
_atom_site_label
_atom_site_fract_x
_atom_site_fract_y
_atom_site_fract_z
Li1 0.0000 0.3317 0.0000
Ga1 0.0000 0.0000 0.1616
Hg1 0.0000 0.0000 0.5000
```

Peak list (10 most intense, 10° ≤ 2θ ≤ 90°, sorted by position)
hkl  2theta  I_rel
1 0 1  16.99  25
1 1 0  22.76  100
0 1 2  25.41  12
3 0 0  39.97  31
1 1 3  40.29  55
2 2 0  46.49  15
3 0 3  52.62  19
2 2 3  58.05  19
4 1 0  62.95  14
4 1 3  72.81  19

---

# 7
Calculated powder X-ray diffraction pattern
Compound: Li7GaHg2
Radiation: CuKα
Structure: a DFT-relaxed cell (GGA-PBE, Alexandria)

Atomic structure:
```
data_Li7GaHg2
_cell_length_a 8.769
_cell_length_b 15.562
_cell_length_c 3.049
_cell_angle_alpha 90.00
_cell_angle_beta 90.00
_cell_angle_gamma 90.00
_space_group_name_H-M_alt 'C m m m'
_space_group_IT_number 65
_space_group_name_Hall '-C 2 2'
loop_
_atom_site_label
_atom_site_fract_x
_atom_site_fract_y
_atom_site_fract_z
Li1 0.000 0.000 0.000
Li2 0.000 0.318 0.500
Li3 0.217 0.410 0.000
Ga1 0.000 0.500 0.500
Hg1 0.000 0.174 0.000
```

Peak list (10 most intense, 10° ≤ 2θ ≤ 90°, sorted by position)
hkl  2theta  I_rel
0 2 0  11.37  18
1 1 0  11.58  17
1 3 0  19.89  100
2 0 0  20.25  52
0 2 1  31.56  35
3 3 0  35.24  25
1 3 1  35.66  25
2 2 1  37.75  18
2 6 0  40.41  20
1 5 1  42.78  21

---

# 8
Calculated powder X-ray diffraction pattern
Compound: Li2GaHg2
Radiation: CuKα
Structure: a DFT-relaxed cell (GGA-PBE, Alexandria)

Atomic structure:
```
data_Li2GaHg2
_cell_length_a 7.637
_cell_length_b 7.637
_cell_length_c 3.323
_cell_angle_alpha 90.00
_cell_angle_beta 90.00
_cell_angle_gamma 90.00
_space_group_name_H-M_alt 'P 4/m b m'
_space_group_IT_number 127
_space_group_name_Hall '-P 4 2ab'
loop_
_atom_site_label
_atom_site_fract_x
_atom_site_fract_y
_atom_site_fract_z
Li1 0.158 0.342 0.000
Ga1 0.000 0.000 0.500
Hg1 0.142 0.642 0.500
```

Peak list (10 most intense, 10° ≤ 2θ ≤ 90°, sorted by position)
hkl  2theta  I_rel
2 1 0  26.09  100
0 0 1  26.83  57
3 1 0  37.23  42
2 1 1  37.77  86
3 1 1  46.48  42
4 0 1  55.51  12
2 1 2  62.13  19
5 2 0  65.86  12
3 1 2  68.56  14
5 2 1  72.46  20

---

# 9
Calculated powder X-ray diffraction pattern
Compound: Li3GaHg6
Radiation: CuKα
Structure: a DFT-relaxed cell (GGA-PBE, Alexandria)

Atomic structure:
```
data_Li3GaHg6
_cell_length_a 10.485
_cell_length_b 10.717
_cell_length_c 7.922
_cell_angle_alpha 90.00
_cell_angle_beta 90.00
_cell_angle_gamma 90.00
_space_group_name_H-M_alt 'C m c 21'
_space_group_IT_number 36
loop_
_space_group_symop_operation_xyz
'x,y,z'
'-x,-y,z+1/2'
'-x,y,z'
'x,-y,z+1/2'
'x+1/2,y+1/2,z'
'-x+1/2,-y+1/2,z+1/2'
'-x+1/2,y+1/2,z'
'x+1/2,-y+1/2,z+1/2'
loop_
_atom_site_label
_atom_site_fract_x
_atom_site_fract_y
_atom_site_fract_z
Li1 0.000 0.018 0.000
Li2 0.170 0.361 0.482
Ga1 0.000 0.299 0.049
Hg1 0.000 0.213 0.710
Hg2 0.000 0.487 0.781
Hg3 0.157 0.138 0.272
Hg4 0.250 0.103 0.623
```

Peak list (10 most intense, 10° ≤ 2θ ≤ 90°, sorted by position)
hkl  2theta  I_rel
0 2 1  20.00  73
0 0 2  22.45  100
1 3 0  26.34  74
3 1 0  26.83  41
3 1 1  29.14  91
1 3 2  34.89  71
2 4 0  37.71  70
0 2 3  37.99  62
2 4 1  39.44  43
4 2 1  39.94  79

---

# 10
Calculated powder X-ray diffraction pattern
Compound: LiMg2GaHg6
Radiation: CuKα
Structure: a DFT-relaxed cell (GGA-PBE, Alexandria)

Atomic structure:
```
data_LiMg2GaHg6
_cell_length_a 8.467
_cell_length_b 7.957
_cell_length_c 7.356
_cell_angle_alpha 90.00
_cell_angle_beta 106.82
_cell_angle_gamma 90.00
_space_group_name_H-M_alt 'C 1 2/m 1'
_space_group_IT_number 12
loop_
_space_group_symop_operation_xyz
'x,y,z'
'-x,-y,-z'
'-x,y,-z'
'x,-y,z'
'x+1/2,y+1/2,z'
'-x+1/2,-y+1/2,-z'
'-x+1/2,y+1/2,-z'
'x+1/2,-y+1/2,z'
loop_
_atom_site_label
_atom_site_fract_x
_atom_site_fract_y
_atom_site_fract_z
Li1 0.000 0.000 0.000
Mg1 0.173 0.500 0.181
Ga1 0.000 0.500 0.500
Hg1 0.107 0.278 0.815
Hg2 0.145 0.000 0.409
```

Peak list (10 most intense, 10° ≤ 2θ ≤ 90°, sorted by position)
hkl  2theta  I_rel
1 1 1  22.01  46
0 2 1  25.72  98
2 0 -2  28.38  99
2 2 -1  31.50  100
3 1 -1  33.84  43
0 2 2  34.00  55
2 2 1  36.44  97
2 0 2  38.39  79
0 4 0  45.60  30
4 2 -3  55.61  49

---

# 11
Calculated powder X-ray diffraction pattern
Compound: LiGaNiHg
Radiation: CuKα
Structure: a DFT-relaxed cell (GGA-PBE, Alexandria)

Atomic structure:
```
data_LiGaNiHg
_cell_length_a 6.206
_cell_length_b 6.206
_cell_length_c 6.206
_cell_angle_alpha 90.00
_cell_angle_beta 90.00
_cell_angle_gamma 90.00
_space_group_name_H-M_alt 'F -4 3 m'
_space_group_IT_number 216
_space_group_name_Hall 'F -4 2 3'
loop_
_atom_site_label
_atom_site_fract_x
_atom_site_fract_y
_atom_site_fract_z
Li1 0.000 0.000 0.000
Ga1 0.250 0.250 0.750
Ni1 0.000 0.000 0.500
Hg1 0.250 0.250 0.250
```

Peak list (10 most intense, 10° ≤ 2θ ≤ 90°, sorted by position)
hkl  2theta  I_rel
1 1 1  24.85  41
2 0 0  28.77  45
2 2 0  41.14  100
3 1 1  48.66  21
2 2 2  50.98  13
4 0 0  59.59  17
3 3 1  65.57  9
4 2 0  67.50  17
4 2 2  74.97  34
4 4 0  89.29  11

---

# 12
Calculated powder X-ray diffraction pattern
Compound: Mg2GaHg4
Radiation: CuKα
Structure: a DFT-relaxed cell (GGA-PBE, Alexandria)

Atomic structure:
```
data_Mg2GaHg4
_cell_length_a 6.760
_cell_length_b 12.585
_cell_length_c 3.846
_cell_angle_alpha 90.00
_cell_angle_beta 90.00
_cell_angle_gamma 90.00
_space_group_name_H-M_alt 'P b a m'
_space_group_IT_number 55
loop_
_space_group_symop_operation_xyz
'x,y,z'
'-x,-y,-z'
'-x,-y,z'
'x,y,-z'
'x+1/2,-y+1/2,-z'
'-x+1/2,y+1/2,z'
'-x+1/2,y+1/2,-z'
'x+1/2,-y+1/2,z'
loop_
_atom_site_label
_atom_site_fract_x
_atom_site_fract_y
_atom_site_fract_z
Mg1 0.240 0.134 0.000
Ga1 0.000 0.500 0.500
Hg1 0.004 0.261 0.500
Hg2 0.196 0.908 0.000
```

Peak list (10 most intense, 10° ≤ 2θ ≤ 90°, sorted by position)
hkl  2theta  I_rel
1 2 0  19.27  54
0 2 1  27.17  64
2 2 0  30.01  43
1 2 1  30.27  37
2 0 1  35.35  100
0 4 1  36.91  78
2 4 0  39.12  57
0 0 2  47.27  32
2 6 1  56.97  39
2 4 2  62.97  28